(1)
Diffraction record for Nd2Dy3Mg3. The X-ray diffraction stick pattern is computed, not measured: it uses the GGA-PBE geometry in Alexandria and Cu Kα (weighted mean of Kα1 and Kα2).
Lines closer than 0.1° are merged.

Crystal structure
Cell lengths 3.829, 5.446, 22.571 Å; angles 90.00, 90.00, 90.00 degrees
Space group Immm (No. 71)
Asymmetric unit:
Nd: 0.000 0.000 0.234 (multiplicity 4)
Dy: 0.000 0.000 0.000 (multiplicity 2)
Dy: 0.000 0.500 0.122 (multiplicity 4)
Mg: 0.000 0.000 0.500 (multiplicity 2)
Mg: 0.000 0.500 0.386 (multiplicity 4)

Top 6 peaks for 5 to 70 degrees two-theta, low angle first:
- hkl 1 0 1, d 3.774, rel. 22
- hkl 0 1 5, d 3.476, rel. 32
- hkl 0 0 8, d 2.821, rel. 22
- hkl 1 1 4, d 2.739, rel. 100
- hkl 0 2 0, d 2.723, rel. 26
- hkl 1 3 4, d 1.575, rel. 20

---

(2)
Diffraction record for Tb2Nd3Er3. The X-ray diffraction stick pattern is computed, not measured: it uses the GGA-PBE geometry in Alexandria and Cu Kα (weighted mean of Kα1 and Kα2).
Lines closer than 0.1° are merged.

Crystal structure
Cell lengths 5.958, 5.965, 14.757 Å; angles 90.00, 90.00, 90.00 degrees
Space group Immm (No. 71)
Asymmetric unit:
Tb: 0.000 0.000 0.248 (multiplicity 4)
Nd: 0.000 0.000 0.500 (multiplicity 2)
Nd: 0.000 0.500 0.371 (multiplicity 4)
Er: 0.000 0.000 0.000 (multiplicity 2)
Er: 0.000 0.500 0.124 (multiplicity 4)

Top 6 peaks for 5 to 70 degrees two-theta, low angle first:
- hkl 2 0 0, d 2.981, rel. 61
- hkl 1 1 4, d 2.776, rel. 100
- hkl 2 2 0, d 2.108, rel. 23
- hkl 3 1 4, d 1.679, rel. 45
- hkl 2 0 8, d 1.569, rel. 18
- hkl 2 2 8, d 1.388, rel. 12

---

(3)
Diffraction record for LaSm4Er4. The X-ray diffraction stick pattern is computed, not measured: it uses the GGA-PBE geometry in Alexandria and Cu Kα (weighted mean of Kα1 and Kα2).
Lines closer than 0.1° are merged.

Crystal structure
Cell lengths 10.784, 10.784, 5.055 Å; angles 90.00, 90.00, 90.00 degrees
Space group I4/mmm (No. 139)
Asymmetric unit:
La: 0.000 0.000 0.000 (multiplicity 2)
Sm: 0.000 0.333 0.000 (multiplicity 8)
Er: 0.168 0.168 0.500 (multiplicity 8)

Top 6 peaks for 5 to 70 degrees two-theta, low angle first:
- hkl 3 0 1, d 2.930, rel. 100
- hkl 3 3 0, d 2.542, rel. 34
- hkl 0 0 2, d 2.528, rel. 17
- hkl 3 3 2, d 1.792, rel. 24
- hkl 6 3 1, d 1.532, rel. 29
- hkl 3 0 3, d 1.526, rel. 14

---

(4)
Diffraction record for PmNd6SmTm2. The X-ray diffraction stick pattern is computed, not measured: it uses the GGA-PBE geometry in Alexandria and Cu Kα (weighted mean of Kα1 and Kα2).
Lines closer than 0.1° are merged.

Crystal structure
Cell lengths 9.348, 15.250, 9.710 Å; angles 90.00, 97.42, 90.00 degrees
Space group C2/c (No. 15)
Asymmetric unit:
Pm: 0.000 0.092 0.250 (multiplicity 4)
Nd: 0.065 0.325 0.444 (multiplicity 8)
Nd: 0.095 0.109 0.619 (multiplicity 8)
Nd: 0.214 0.275 0.817 (multiplicity 8)
Sm: 0.000 0.468 0.750 (multiplicity 4)
Tm: 0.247 0.452 0.049 (multiplicity 8)

Top 6 peaks for 5 to 70 degrees two-theta, low angle first:
- hkl 1 3 2, d 3.174, rel. 46
- hkl 3 1 -1, d 3.000, rel. 56
- hkl 0 2 3, d 2.958, rel. 52
- hkl 2 2 2, d 2.902, rel. 100
- hkl 2 4 -1, d 2.883, rel. 41
- hkl 1 3 -3, d 2.685, rel. 37